Simulated powder diffraction line list of Y2Ge3 for Cu Kα (λ = 1.5418 Å), from the GGA-PBE geometry in the Materials Project.
Lines closer than 0.1° are merged.

Main lines, by angle (2θ = 10–90°):
index, d [Å], Position (°2θ), I (rel.)
0 0 1, 7.107, 12.45, 6
1 0 0, 3.804, 23.39, 14
1 0 1, 3.354, 26.58, 18
1 0 2, 2.597, 34.54, 100
1 1 0, 2.196, 41.10, 58
0 0 4, 1.777, 51.43, 9
2 0 2, 1.677, 54.74, 26
1 1 3, 1.610, 57.20, 7
1 1 4, 1.381, 67.85, 23
2 1 2, 1.333, 70.69, 27
3 0 0, 1.268, 74.89, 9
2 2 0, 1.098, 89.18, 6

Structural model:
Unit cell a=4.392 b=4.392 c=7.107 alpha=90.00 beta=90.00 gamma=120.00
Positions (direct):
Y (0.000, 0.000, 0.230)
Y (0.000, 0.000, 0.770)
Ge (0.333, 0.667, 0.500)
Ge (0.667, 0.333, 0.000)
Ge (0.667, 0.333, 0.500)